Structure and simulated powder diffractogram of TmBH4 (a PBE-relaxed structure; Cu Kα X-rays).

Most intense lines, 10 to 90 degrees two-theta, most intense first:
Position (°2θ)  I/Imax
27.2  100
28.0  94
32.0  83
45.8  60
32.0  42
53.7  32
55.1  30
56.1  16
44.8  16
54.1  16
54.5  15
57.9  15

Structure:
Cell: 6.751 6.751 4.043 Å, 107.34 107.34 49.07°
Fractional coordinates of all 18 atoms:
Tm  0.000  0.000  0.000
Tm  0.359  0.315  0.355
Tm  0.685  0.641  0.645
B  0.184  0.148  0.673
B  0.517  0.483  0.000
B  0.852  0.816  0.327
H  0.160  0.359  0.765
H  0.313  0.009  0.919
H  0.314  0.013  0.415
H  0.376  0.620  0.745
H  0.380  0.624  0.255
H  0.557  0.257  0.905
H  0.641  0.840  0.235
H  0.743  0.443  0.095
H  0.800  0.042  0.413
H  0.958  0.200  0.587
H  0.987  0.686  0.585
H  0.991  0.687  0.081